This entry pairs a crystal structure of MnTeN2 with its theoretical X-ray powder pattern. Radiation: Cu Kα X-rays. Structure: a structure optimized by DFT (GGA-PBE).
Peak positions follow from Bragg's law for the DFT cell and can differ from measured ones.

Structural model:
```
16
Lattice="5.4319 0.0000 0.0000 0.0000 5.9439 0.0000 0.0000 0.0000 8.1134" Properties=species:S:1:pos:R:3 pbc="T T T"
Mn 0.1547 1.4860 0.8551
Mn 2.5612 4.4579 4.9118
Mn 2.8707 1.4860 3.2016
Mn 5.2772 4.4579 7.2583
Te 0.1502 4.4579 3.9385
Te 2.5658 1.4860 7.9952
Te 2.8661 4.4579 0.1182
Te 5.2817 1.4860 4.1749
N 0.0000 0.0000 0.0000
N 0.0000 2.9720 0.0000
N 1.0165 1.4860 2.4426
N 1.6994 4.4579 6.4993
N 2.7160 0.0000 4.0567
N 2.7160 2.9720 4.0567
N 3.7325 1.4860 1.6141
N 4.4154 4.4579 5.6708
```

Main lines, most intense first (2θ from 10° to 90°):
| 2theta | d [Å] | intensity |
| --- | --- | --- |
| 21.91 | 4.057 | 100 |
| 30.07 | 2.972 | 76 |
| 32.98 | 2.716 | 55 |
| 19.67 | 4.514 | 53 |
| 48.50 | 1.877 | 53 |
| 36.19 | 2.482 | 49 |
| 39.95 | 2.257 | 47 |
| 31.37 | 2.852 | 44 |
| 37.14 | 2.421 | 39 |
| 45.23 | 2.005 | 33 |

This entry pairs a crystal structure of TiSnS2 with its theoretical X-ray powder pattern. Radiation: Cu Kα X-rays. Structure: a structure optimized by DFT (GGA-PBE).
Peak positions follow from Bragg's law for the DFT cell and can differ from measured ones.

Structural model:
```
4
Lattice="3.3864 0.0000 0.0000 -1.6932 2.9327 0.0000 0.0000 0.0000 8.4317" Properties=species:S:1:pos:R:3 pbc="T T T"
Ti 0.0000 0.0000 0.0000
Sn 0.0000 1.9552 4.2513
S 0.0000 1.9552 6.9674
S 1.6932 0.9776 1.4543
```

Main lines, most intense first (2θ from 10° to 90°):
| 2theta | d [Å] | intensity |
| --- | --- | --- |
| 32.32 | 2.770 | 100 |
| 44.66 | 2.029 | 55 |
| 37.35 | 2.408 | 38 |
| 21.07 | 4.216 | 36 |
| 30.48 | 2.933 | 34 |
| 54.17 | 1.693 | 27 |
| 53.54 | 1.712 | 16 |
| 31.84 | 2.811 | 15 |
| 58.77 | 1.571 | 14 |
| 64.50 | 1.445 | 14 |

This entry pairs a crystal structure of Pu4GeRh3 with its theoretical X-ray powder pattern. Radiation: Cu Kα X-rays. Structure: a structure optimized by DFT (GGA-PBE).
Peak positions follow from Bragg's law for the DFT cell and can differ from measured ones.

Structural model:
```
8
Lattice="-3.4598 3.4598 3.4598 3.4598 -3.4598 3.4598 3.4598 3.4598 -3.4598" Properties=species:S:1:pos:R:3 pbc="T T T"
Pu 1.7299 1.7299 -1.7299
Pu 1.7299 -1.7299 1.7299
Pu -1.7299 1.7299 1.7299
Pu 1.7299 1.7299 1.7299
Ge 0.0000 0.0000 0.0000
Rh 3.4598 0.0000 0.0000
Rh 0.0000 3.4598 0.0000
Rh 0.0000 0.0000 3.4598
```

Main lines, most intense first (2θ from 10° to 90°):
| 2theta | d [Å] | intensity |
| --- | --- | --- |
| 36.74 | 2.446 | 100 |
| 66.16 | 1.412 | 37 |
| 25.75 | 3.460 | 20 |
| 52.93 | 1.730 | 18 |
| 89.60 | 1.094 | 17 |
| 78.13 | 1.223 | 12 |
| 59.77 | 1.547 | 9 |
| 45.40 | 1.998 | 6 |
| 83.90 | 1.153 | 5 |

This entry pairs a crystal structure of BaZn12Ag7 with its theoretical X-ray powder pattern. Radiation: Cu Kα X-rays. Structure: a structure optimized by DFT (GGA-PBE).
Peak positions follow from Bragg's law for the DFT cell and can differ from measured ones.

Structural model:
```
20
Lattice="6.7847 3.9171 2.2963 -6.7847 3.9171 2.2963 0.0000 -7.8343 2.2963" Properties=species:S:1:pos:R:3 pbc="T T T"
Ba 0.0000 0.0000 0.0000
Zn -1.7991 -4.7182 2.2963
Zn -4.9856 0.8011 2.2963
Zn -2.3225 -1.3409 2.0355
Zn 1.7991 -4.7182 2.2963
Zn -3.1866 3.9171 2.2963
Zn 2.3225 -1.3409 2.0355
Zn 0.0000 2.6818 2.0355
Zn 0.0000 -2.6818 4.8535
Zn -2.3225 1.3409 4.8535
Zn 4.9856 0.8011 2.2963
Zn 3.1866 3.9171 2.2963
Zn 2.3225 1.3409 4.8535
Ag 0.0000 -2.7235 2.1464
Ag -2.3586 1.3618 2.1464
Ag -2.3586 -1.3617 4.7426
Ag 0.0000 0.0000 3.4445
Ag 2.3586 1.3618 2.1464
Ag 2.3586 -1.3618 4.7426
Ag 0.0000 2.7235 4.7426
```

Main lines, most intense first (2θ from 10° to 90°):
| 2theta | d [Å] | intensity |
| --- | --- | --- |
| 39.86 | 2.262 | 100 |
| 32.91 | 2.722 | 63 |
| 40.35 | 2.235 | 59 |
| 39.23 | 2.296 | 41 |
| 33.15 | 2.702 | 37 |
| 57.17 | 1.611 | 33 |
| 35.77 | 2.511 | 25 |
| 38.01 | 2.367 | 24 |
| 42.58 | 2.123 | 22 |
| 46.79 | 1.941 | 21 |

This entry pairs a crystal structure of Ca5InSb4 with its theoretical X-ray powder pattern. Radiation: Cu Kα X-rays. Structure: a structure optimized by DFT (GGA-PBE).
Peak positions follow from Bragg's law for the DFT cell and can differ from measured ones.

Structural model:
```
10
Lattice="-2.3344 5.0570 6.5548 2.3344 -5.0570 6.5548 2.3344 5.0570 -6.5548" Properties=species:S:1:pos:R:3 pbc="T T T"
Ca 0.0000 0.0000 0.0000
Ca 2.3344 -1.8586 4.5619
Ca 0.0000 3.1984 1.9929
Ca 2.3344 1.8586 4.5619
Ca 0.0000 6.9156 1.9929
In 0.0000 0.0000 6.5548
Sb 2.3344 2.1231 0.0000
Sb 0.0000 0.0000 3.3465
Sb 0.0000 0.0000 9.7631
Sb 0.0000 2.9339 6.5548
```

Main lines, most intense first (2θ from 10° to 90°):
| 2theta | d [Å] | intensity |
| --- | --- | --- |
| 32.77 | 2.733 | 100 |
| 27.97 | 3.190 | 60 |
| 34.59 | 2.593 | 50 |
| 20.96 | 4.239 | 43 |
| 38.57 | 2.334 | 39 |
| 27.21 | 3.277 | 39 |
| 22.20 | 4.005 | 36 |
| 43.09 | 2.099 | 34 |
| 45.27 | 2.003 | 33 |
| 20.19 | 4.398 | 31 |

This entry pairs a crystal structure of Ba2Al3In4Hg with its theoretical X-ray powder pattern. Radiation: Cu Kα X-rays. Structure: a structure optimized by DFT (GGA-PBE).
Peak positions follow from Bragg's law for the DFT cell and can differ from measured ones.

Structural model:
```
10
Lattice="4.8797 0.0000 0.0000 0.0000 4.8797 0.0000 0.0000 0.0000 11.6800" Properties=species:S:1:pos:R:3 pbc="T T T"
Ba 0.0000 2.4399 2.9127
Ba 2.4399 0.0000 8.7673
Al 0.0000 0.0000 0.0000
Al 0.0000 2.4399 7.3729
Al 2.4399 0.0000 4.3072
In 0.0000 0.0000 5.8400
In 0.0000 2.4399 10.1157
In 2.4399 0.0000 1.5643
In 2.4399 2.4399 5.8400
Hg 2.4399 2.4399 0.0000
```

Main lines, most intense first (2θ from 10° to 90°):
| 2theta | d [Å] | intensity |
| --- | --- | --- |
| 30.08 | 2.971 | 100 |
| 36.84 | 2.440 | 52 |
| 29.35 | 3.043 | 41 |
| 62.23 | 1.492 | 25 |
| 47.78 | 1.904 | 21 |
| 42.92 | 2.107 | 19 |
| 23.76 | 3.745 | 19 |
| 40.47 | 2.229 | 18 |
| 53.08 | 1.725 | 18 |
| 57.82 | 1.595 | 16 |

This entry pairs a crystal structure of Ca2TiAlSi2O9F with its theoretical X-ray powder pattern. Radiation: Cu Kα X-rays. Structure: a structure optimized by DFT (GGA-PBE).
Peak positions follow from Bragg's law for the DFT cell and can differ from measured ones.

Structural model:
```
16
Lattice="5.4160 0.0000 0.0000 -1.4702 5.2761 0.0000 -1.7887 -2.4030 6.4956" Properties=species:S:1:pos:R:3 pbc="T T T"
Ca 0.0000 0.0000 0.0000
Ca -0.0798 2.2974 3.4124
Ti 2.7499 1.1533 1.5755
Al 1.7671 -0.0770 4.9909
Si 0.9179 3.3965 0.0515
Si 4.3979 -1.1181 3.3852
O -2.1633 1.0042 5.5317
O 0.2827 -1.1191 4.3847
O 1.0240 2.0040 0.9597
O 0.5726 4.6451 1.0941
O 0.5186 1.2725 5.6940
O 3.6073 1.3942 0.0739
O 3.0002 -1.3832 4.2194
O 3.2540 2.8772 2.3888
O 4.3138 0.2708 2.4810
F 1.7028 0.8696 3.4011
```

Main lines, most intense first (2θ from 10° to 90°):
| 2theta | d [Å] | intensity |
| --- | --- | --- |
| 29.87 | 2.991 | 100 |
| 27.25 | 3.272 | 74 |
| 27.11 | 3.289 | 62 |
| 34.50 | 2.600 | 53 |
| 34.59 | 2.593 | 41 |
| 34.31 | 2.614 | 41 |
| 51.59 | 1.772 | 25 |
| 44.02 | 2.057 | 20 |
| 64.68 | 1.441 | 19 |
| 56.31 | 1.634 | 19 |

This entry pairs a crystal structure of Be17CoRu with its theoretical X-ray powder pattern. Radiation: Cu Kα X-rays. Structure: a structure optimized by DFT (GGA-PBE).
Peak positions follow from Bragg's law for the DFT cell and can differ from measured ones.

Structural model:
```
19
Lattice="3.5786 2.0661 3.5109 -3.5786 2.0661 3.5109 0.0000 -4.1322 3.5109" Properties=species:S:1:pos:R:3 pbc="T T T"
Be 0.0000 0.0000 0.5176
Be -1.1108 -2.2402 5.1310
Be -2.4955 0.1581 5.1310
Be 0.0000 -2.0457 3.3941
Be -1.7716 1.0228 3.3941
Be 0.0000 0.0000 2.6919
Be -1.7599 -1.0161 6.7449
Be 1.1108 -2.2402 5.1310
Be -1.3847 2.0821 5.1310
Be 0.0000 -2.0114 7.0218
Be -1.7419 1.0057 7.0218
Be 1.7716 1.0228 3.3941
Be 1.7599 -1.0161 6.7449
Be 0.0000 2.0322 6.7449
Be 2.4955 0.1581 5.1310
Be 1.3847 2.0821 5.1310
Be 1.7419 1.0057 7.0218
Co 0.0000 0.0000 8.5768
Ru 0.0000 0.0000 5.1712
```

Main lines, most intense first (2θ from 10° to 90°):
| 2theta | d [Å] | intensity |
| --- | --- | --- |
| 35.83 | 2.506 | 100 |
| 24.88 | 3.579 | 99 |
| 16.59 | 5.342 | 87 |
| 51.31 | 1.781 | 59 |
| 43.82 | 2.066 | 40 |
| 22.15 | 4.013 | 39 |
| 25.37 | 3.511 | 32 |
| 51.04 | 1.789 | 31 |
| 30.06 | 2.973 | 24 |
| 39.40 | 2.287 | 22 |

This entry pairs a crystal structure of NaLiCO3 with its theoretical X-ray powder pattern. Radiation: Cu Kα X-rays. Structure: a structure optimized by DFT (GGA-PBE).
Peak positions follow from Bragg's law for the DFT cell and can differ from measured ones.

Structural model:
```
18
Lattice="8.4064 0.0000 0.0000 -4.2032 7.2802 0.0000 0.0000 0.0000 3.4096" Properties=species:S:1:pos:R:3 pbc="T T T"
Na -2.7372 4.7409 0.0000
Na 1.4660 2.5393 0.0000
Na 5.4744 0.0000 0.0000
Li -1.2038 2.0851 1.7048
Li 2.4077 0.0000 1.7048
Li 2.9994 5.1951 1.7048
C 0.0000 0.0000 0.0000
C 0.0000 4.8535 1.7048
C 4.2032 2.4267 1.7048
O -0.6499 1.1256 0.0000
O 1.2997 0.0000 0.0000
O -1.1601 5.4418 1.7048
O 0.0705 3.5546 1.7048
O 3.0431 1.8384 1.7048
O 1.0896 5.5639 1.7048
O 5.2928 1.7162 1.7048
O 4.2737 3.7256 1.7048
O 3.5534 6.1546 0.0000
```

Main lines, most intense first (2θ from 10° to 90°):
| 2theta | d [Å] | intensity |
| --- | --- | --- |
| 28.92 | 3.088 | 100 |
| 33.85 | 2.648 | 58 |
| 21.14 | 4.203 | 45 |
| 51.05 | 1.789 | 40 |
| 36.09 | 2.488 | 38 |
| 32.54 | 2.752 | 29 |
| 43.04 | 2.102 | 24 |
| 53.77 | 1.705 | 22 |
| 45.90 | 1.977 | 19 |
| 57.39 | 1.606 | 17 |

This entry pairs a crystal structure of RbHo5S8 with its theoretical X-ray powder pattern. Radiation: Cu Kα X-rays. Structure: a structure optimized by DFT (GGA-PBE).
Peak positions follow from Bragg's law for the DFT cell and can differ from measured ones.

Structural model:
```
14
Lattice="10.1897 -1.9909 0.0000 10.1897 1.9909 0.0000 -2.4545 0.0000 9.3514" Properties=species:S:1:pos:R:3 pbc="T T T"
Rb 0.0000 0.0000 0.0000
Ho 2.0745 0.0000 4.1711
Ho 2.0720 0.0000 7.8513
Ho 8.9604 0.0000 4.6825
Ho 15.8496 0.0000 1.5131
Ho 15.8456 0.0000 5.1932
S 0.0428 0.0000 6.0067
S 4.6624 0.0000 3.3444
S 6.6894 0.0000 0.0920
S 6.8617 0.0000 6.4749
S 11.0581 0.0000 2.8902
S 11.2319 0.0000 9.2724
S 13.2580 0.0000 6.0199
S 17.8774 0.0000 3.3591
```

Main lines, most intense first (2θ from 10° to 90°):
| 2theta | d [Å] | intensity |
| --- | --- | --- |
| 29.04 | 3.075 | 100 |
| 26.17 | 3.405 | 83 |
| 36.43 | 2.467 | 76 |
| 46.12 | 1.968 | 76 |
| 26.65 | 3.344 | 64 |
| 18.09 | 4.905 | 56 |
| 23.03 | 3.862 | 55 |
| 30.57 | 2.925 | 43 |
| 45.56 | 1.991 | 41 |
| 41.78 | 2.162 | 39 |

This entry pairs a crystal structure of Li2Mg4AgHg with its theoretical X-ray powder pattern. Radiation: Cu Kα X-rays. Structure: a structure optimized by DFT (GGA-PBE).
Peak positions follow from Bragg's law for the DFT cell and can differ from measured ones.

Structural model:
```
8
Lattice="4.2037 0.0000 0.0000 0.0000 4.2037 0.0000 0.0000 0.0000 10.5009" Properties=species:S:1:pos:R:3 pbc="T T T"
Li 0.0000 0.0000 1.2427
Li 0.0000 0.0000 9.2582
Mg 0.0000 2.1019 3.3855
Mg 0.0000 2.1019 7.1154
Mg 2.1019 0.0000 3.3855
Mg 2.1019 0.0000 7.1154
Ag 2.1019 2.1019 5.2505
Hg 2.1019 2.1019 0.0000
```

Main lines, most intense first (2θ from 10° to 90°):
| 2theta | d [Å] | intensity |
| --- | --- | --- |
| 27.17 | 3.282 | 100 |
| 21.13 | 4.204 | 86 |
| 34.68 | 2.587 | 78 |
| 16.89 | 5.250 | 48 |
| 40.51 | 2.227 | 37 |
| 51.64 | 1.770 | 34 |
| 43.03 | 2.102 | 27 |
| 46.13 | 1.968 | 26 |
| 60.58 | 1.528 | 23 |
| 48.42 | 1.880 | 22 |

This entry pairs a crystal structure of Er5Tm4Tl2 with its theoretical X-ray powder pattern. Radiation: Cu Kα X-rays. Structure: a structure optimized by DFT (GGA-PBE).
Peak positions follow from Bragg's law for the DFT cell and can differ from measured ones.

Structural model:
```
11
Lattice="11.2135 -1.7610 0.0000 11.2135 1.7610 0.0000 -2.6129 0.0000 8.7153" Properties=species:S:1:pos:R:3 pbc="T T T"
Er 0.0000 0.0000 0.0000
Er 5.6574 0.0000 5.3756
Er 8.2355 0.0000 0.3899
Er 11.5787 0.0000 8.3254
Er 14.1568 0.0000 3.3397
Tm 0.6864 0.0000 5.3729
Tm 9.0833 0.0000 5.9173
Tm 10.7309 0.0000 2.7980
Tm 19.1278 0.0000 3.3425
Tl 3.1368 0.0000 7.1542
Tl 16.6773 0.0000 1.5611
```

Main lines, most intense first (2θ from 10° to 90°):
| 2theta | d [Å] | intensity |
| --- | --- | --- |
| 32.83 | 2.728 | 100 |
| 36.30 | 2.475 | 69 |
| 31.93 | 2.803 | 49 |
| 33.69 | 2.660 | 42 |
| 29.89 | 2.990 | 37 |
| 28.08 | 3.178 | 32 |
| 27.18 | 3.281 | 32 |
| 52.42 | 1.746 | 27 |
| 63.33 | 1.469 | 26 |
| 34.21 | 2.621 | 26 |